(1)
Theoretical powder XRD pattern
Compound: YEr4Al15
Radiation: Cu Kα (λ = 1.5418 Å)
Structure: the GGA-PBE geometry in the Materials Project

Atomic structure:
```
YEr4Al15
1.0
3.037 1.754 11.987
-3.037 1.754 11.987
0.000 -3.507 11.987
Y Er Al
1 4 15
Cartesian
0.000 0.000 0.000 Y
0.000 0.000 4.718 Er
0.000 0.000 14.386 Er
0.000 0.000 21.573 Er
0.000 0.000 31.242 Er
-1.519 -0.877 11.987 Al
0.000 -1.576 9.594 Al
-1.365 0.788 9.594 Al
-1.533 -0.885 16.794 Al
0.000 -1.770 19.165 Al
-1.533 0.885 19.165 Al
-1.365 -0.788 26.366 Al
-1.519 0.877 23.973 Al
0.000 1.754 11.987 Al
1.365 0.788 9.594 Al
1.533 -0.885 16.794 Al
0.000 1.770 16.794 Al
1.533 0.885 19.165 Al
1.365 -0.788 26.366 Al
0.000 1.576 26.366 Al
```

Principal peaks in the range 5 to 70 degrees two-theta, low angle first:
2θ (°), intensity
19.55, 100
24.22, 59
26.07, 55
29.41, 84
35.56, 66
37.52, 50
38.45, 61
39.70, 59



(2)
Theoretical powder XRD pattern
Compound: YErAl2
Radiation: Cu Kα (λ = 1.5418 Å)
Structure: the GGA-PBE geometry in the Materials Project

Atomic structure:
```
YErAl2
1.0
7.176 0.000 0.000
0.000 7.176 0.000
0.000 0.000 7.176
Y Er Al
4 4 8
Cartesian
0.000 0.000 0.000 Y
0.000 3.588 3.588 Y
3.588 0.000 3.588 Y
3.588 3.588 0.000 Y
0.000 0.000 3.588 Er
0.000 3.588 0.000 Er
3.588 0.000 0.000 Er
3.588 3.588 3.588 Er
1.794 1.794 1.794 Al
1.794 1.794 5.382 Al
1.794 5.382 1.794 Al
1.794 5.382 5.382 Al
5.382 1.794 1.794 Al
5.382 1.794 5.382 Al
5.382 5.382 1.794 Al
5.382 5.382 5.382 Al
```

Principal peaks in the range 5 to 70 degrees two-theta, low angle first:
2θ (°), intensity
21.45, 13
24.81, 53
35.38, 100
41.74, 8
43.69, 16
50.90, 18
57.43, 21
63.51, 36



(3)
Theoretical powder XRD pattern
Compound: Er2AlZn
Radiation: Cu Kα (λ = 1.5418 Å)
Structure: the GGA-PBE geometry in the Materials Project

Atomic structure:
```
Er2AlZn
1.0
7.124 0.000 0.000
0.000 7.124 0.000
0.000 0.000 7.124
Er Al Zn
8 4 4
Cartesian
1.781 1.781 1.781 Er
1.781 1.781 5.343 Er
1.781 5.343 1.781 Er
1.781 5.343 5.343 Er
5.343 1.781 1.781 Er
5.343 1.781 5.343 Er
5.343 5.343 1.781 Er
5.343 5.343 5.343 Er
0.000 0.000 0.000 Al
0.000 3.562 3.562 Al
3.562 0.000 3.562 Al
3.562 3.562 0.000 Al
0.000 0.000 3.562 Zn
0.000 3.562 0.000 Zn
3.562 0.000 0.000 Zn
3.562 3.562 3.562 Zn
```

Principal peaks in the range 5 to 70 degrees two-theta, low angle first:
2θ (°), intensity
21.61, 2
25.00, 36
35.64, 100
42.06, 1
44.03, 11
51.30, 18
57.89, 15
64.03, 36